1.
Starting from a cell relaxed with GGA-PBE, the X-ray diffraction stick pattern of HfB2Se was calculated for Cu Kα, 1.54184 Å.
Intensities are scaled so that the largest is 100.

Atomic structure:
a b c (Å): 5.8331 5.8331 6.6117
angles (deg): 90.00 90.00 90.00
Space group I-42d (No. 122)
Inequivalent atoms, fractional coordinates:
Hf 0.0000 0.0000 0.0000 [4 per cell]
B 0.1964 0.2500 0.6250 [8 per cell]
Se 0.0000 0.0000 0.5000 [4 per cell]

Main lines, sorted by position (2θ = 10–90°):
two_theta  d/Å  intensity
20.30  4.374  23
30.65  2.917  62
34.78  2.580  100
37.05  2.427  13
43.90  2.062  32
57.19  1.611  48
64.84  1.438  18
72.47  1.304  13
73.41  1.290  11
74.79  1.269  11

***

2.
Starting from a cell relaxed with GGA-PBE, the X-ray diffraction stick pattern of Tc3P3Ru was calculated for Cu Kα, 1.54184 Å.
Intensities are scaled so that the largest is 100.

Atomic structure:
a b c (Å): 10.5677 3.7121 9.8392
angles (deg): 90.00 90.00 90.00
Space group Pnma (No. 62)
Inequivalent atoms, fractional coordinates:
Tc 0.0442 0.2500 0.1220 [4 per cell]
Tc 0.1977 0.7500 0.4933 [4 per cell]
Tc 0.2213 0.7500 0.7746 [4 per cell]
P 0.0805 0.2500 0.3767 [4 per cell]
P 0.1044 0.2500 0.8870 [4 per cell]
P 0.2227 0.7500 0.1277 [4 per cell]
Ru 0.0468 0.2500 0.6557 [4 per cell]

Main lines, sorted by position (2θ = 10–90°):
two_theta  d/Å  intensity
31.35  2.853  52
37.47  2.400  17
37.57  2.394  48
39.75  2.268  24
40.46  2.229  94
41.97  2.152  100
47.57  1.912  42
49.08  1.856  46
65.42  1.427  27
70.48  1.336  21

***

3.
Starting from a cell relaxed with GGA-PBE, the X-ray diffraction stick pattern of ErU2CrC4 was calculated for Cu Kα, 1.54184 Å.
Intensities are scaled so that the largest is 100.

Atomic structure:
a b c (Å): 3.5351 11.0766 11.6538
angles (deg): 90.00 90.00 90.00
Space group Cmcm (No. 63)
Inequivalent atoms, fractional coordinates:
Er 0.0000 0.1166 0.2500 [4 per cell]
U 0.0000 0.3698 0.0484 [8 per cell]
Cr 0.0000 0.1499 0.7500 [4 per cell]
C 0.0000 0.0000 0.0000 [4 per cell]
C 0.0000 0.2613 0.6259 [8 per cell]
C 0.0000 0.4278 0.2500 [4 per cell]

Main lines, sorted by position (2θ = 10–90°):
two_theta  d/Å  intensity
27.57  3.235  17
28.06  3.180  71
30.67  2.915  100
32.33  2.769  46
36.01  2.494  18
38.49  2.339  59
47.44  1.917  29
51.12  1.787  17
53.21  1.721  19
59.87  1.545  19

***

4.
Starting from a cell relaxed with GGA-PBE, the X-ray diffraction stick pattern of NaDy2PtO5 was calculated for Cu Kα, 1.54184 Å.
Intensities are scaled so that the largest is 100.

Atomic structure:
a b c (Å): 6.5396 6.5396 5.8156
angles (deg): 90.00 90.00 90.00
Space group P4/mbm (No. 127)
Inequivalent atoms, fractional coordinates:
Na 0.0000 0.0000 0.0000 [2 per cell]
Dy 0.1757 0.3243 0.5000 [4 per cell]
Pt 0.0000 0.5000 0.0000 [2 per cell]
O 0.0000 0.0000 0.5000 [2 per cell]
O 0.1376 0.6376 0.2606 [8 per cell]

Main lines, sorted by position (2θ = 10–90°):
two_theta  d/Å  intensity
19.19  4.624  65
30.57  2.925  22
30.75  2.908  41
31.39  2.850  100
34.32  2.613  53
38.95  2.312  22
43.91  2.062  40
46.61  1.948  47
50.43  1.810  21
55.07  1.667  21